Starting from the PBE geometry in Alexandria, the powder XRD pattern of LiMnSe2 was simulated for Cu Kα.
Peak positions follow from Bragg's law for the DFT cell and can differ from measured ones.

Crystal structure
```
data_LiMnSe2
_cell_length_a 3.7127
_cell_length_b 3.7127
_cell_length_c 19.5917
_cell_angle_alpha 90.00
_cell_angle_beta 90.00
_cell_angle_gamma 120.00
_symmetry_space_group_name_H-M 'R 3 m'
_symmetry_Int_Tables_number 160
_symmetry_space_group_name_Hall 'R 3 -2"'
loop_
_atom_site_label
_atom_site_fract_x
_atom_site_fract_y
_atom_site_fract_z
_atom_site_occupancy
Li1 0.0000 0.0000 0.0000 1
Mn1 0.0000 0.0000 0.1653 1
Se1 0.0000 0.0000 0.5728 1
Se2 0.0000 0.0000 0.7570 1
```

Peak list (10 most intense, 2θ from 10° to 90°, sorted by position)
- 13.6 deg, rel. 50.1, hkl 0 0 3
- 28.1 deg, rel. 23.9, hkl 1 0 1
- 29.2 deg, rel. 54.9, hkl 0 1 2
- 36.1 deg, rel. 100.0, hkl 0 1 5
- 42.8 deg, rel. 33.2, hkl 1 0 7
- 49.1 deg, rel. 43.6, hkl 1 1 0
- 54.9 deg, rel. 23.6, hkl 1 0 10
- 62.4 deg, rel. 19.2, hkl 2 0 5
- 77.9 deg, rel. 15.3, hkl 1 1 12
- 83.2 deg, rel. 16.9, hkl 1 2 5

=====

Starting from the PBE geometry in Alexandria, the powder XRD pattern of Sm2Mg2Al5Pd was simulated for Cu Kα.
Peak positions follow from Bragg's law for the DFT cell and can differ from measured ones.

Crystal structure
```
data_Sm2Mg2Al5Pd
_cell_length_a 10.9917
_cell_length_b 10.9917
_cell_length_c 3.4523
_cell_angle_alpha 90.00
_cell_angle_beta 90.00
_cell_angle_gamma 90.00
_symmetry_space_group_name_H-M 'P 4/m b m'
_symmetry_Int_Tables_number 127
_symmetry_space_group_name_Hall '-P 4 2ab'
loop_
_atom_site_label
_atom_site_fract_x
_atom_site_fract_y
_atom_site_fract_z
_atom_site_occupancy
Sm1 0.1670 0.3330 0.0000 1
Mg1 0.1372 0.6372 0.0000 1
Al1 0.0000 0.5000 0.5000 1
Al2 0.0557 0.8268 0.5000 1
Pd1 0.0000 0.0000 0.0000 1
```

Peak list (10 most intense, 2θ from 10° to 90°, sorted by position)
- 18.0 deg, rel. 67.0, hkl 2 1 0
- 22.9 deg, rel. 18.9, hkl 2 2 0
- 25.6 deg, rel. 50.5, hkl 3 1 0
- 25.8 deg, rel. 26.4, hkl 0 0 1
- 31.7 deg, rel. 48.7, hkl 2 1 1
- 33.6 deg, rel. 40.0, hkl 4 1 0
- 34.6 deg, rel. 22.7, hkl 3 3 0
- 34.8 deg, rel. 19.9, hkl 2 2 1
- 36.7 deg, rel. 100.0, hkl 3 1 1
- 49.8 deg, rel. 19.7, hkl 6 0 0